1.
Calculated X-ray diffraction stick pattern of PmPr5Tm3 for Cu Kα, 1.54184 Å, from a structure optimized by DFT (GGA-PBE).
Neutral-atom scattering factors, no anomalous dispersion.

Cell and atoms:
Lattice parameters (Å, degrees): 9.8110 9.8110 9.8110 123.55 123.55 83.96
Atoms (fractional coordinates):
Pm 0.2500 0.7500 0.5000
Pm 0.7500 0.2500 0.5000
Pr 0.0000 0.0000 0.0000
Pr 0.0676 0.5676 0.9000
Pr 0.1676 0.0676 0.5000
Pr 0.3324 0.8324 0.9000
Pr 0.4324 0.3324 0.5000
Pr 0.5000 0.5000 0.0000
Pr 0.5676 0.6676 0.5000
Pr 0.6676 0.1676 0.1000
Pr 0.8324 0.9324 0.5000
Pr 0.9324 0.4324 0.1000
Tm 0.1104 0.3896 0.5000
Tm 0.2500 0.2500 0.0000
Tm 0.3896 0.8896 0.2792
Tm 0.6104 0.1104 0.7208
Tm 0.7500 0.7500 0.0000
Tm 0.8896 0.6104 0.5000

Peak list (6 most intense, 2θ from 10° to 90°, most intense first)
- 31.19 deg, rel. 100
- 28.27 deg, rel. 59
- 27.18 deg, rel. 54
- 35.41 deg, rel. 27
- 30.46 deg, rel. 21
- 40.55 deg, rel. 19

2.
Calculated X-ray diffraction stick pattern of Pm3Pr4Tm for Cu Kα, 1.54184 Å, from a structure optimized by DFT (GGA-PBE).
Neutral-atom scattering factors, no anomalous dispersion.

Cell and atoms:
Lattice parameters (Å, degrees): 12.4447 12.4447 6.3630 104.78 104.78 17.00
Atoms (fractional coordinates):
Pm 0.0000 0.0000 0.0000
Pm 0.2509 0.2509 0.2513
Pm 0.7491 0.7491 0.7487
Pr 0.1234 0.1234 0.4547
Pr 0.3754 0.3754 0.0425
Pr 0.6246 0.6246 0.9575
Pr 0.8766 0.8766 0.5453
Tm 0.5000 0.5000 0.5000

Peak list (6 most intense, 2θ from 10° to 90°, most intense first)
- 31.89 deg, rel. 100
- 29.04 deg, rel. 39
- 30.06 deg, rel. 34
- 59.09 deg, rel. 30
- 49.60 deg, rel. 25
- 54.54 deg, rel. 22

3.
Calculated X-ray diffraction stick pattern of PmPr5Tm4 for Cu Kα, 1.54184 Å, from a structure optimized by DFT (GGA-PBE).
Neutral-atom scattering factors, no anomalous dispersion.

Cell and atoms:
Lattice parameters (Å, degrees): 3.6046 9.0333 11.1627 69.23 82.65 85.90
Atoms (fractional coordinates):
Pm 0.0000 0.0000 0.0000
Pr 0.0000 0.0000 0.5000
Pr 0.3208 0.3833 0.4235
Pr 0.4993 0.2139 0.1771
Pr 0.5007 0.7861 0.8229
Pr 0.6792 0.6167 0.5765
Tm 0.0719 0.4170 0.8774
Tm 0.3446 0.7956 0.2804
Tm 0.6554 0.2044 0.7196
Tm 0.9281 0.5830 0.1226

Peak list (6 most intense, 2θ from 10° to 90°, most intense first)
- 32.37 deg, rel. 100
- 30.39 deg, rel. 71
- 31.66 deg, rel. 56
- 31.93 deg, rel. 53
- 28.73 deg, rel. 38
- 32.58 deg, rel. 20

4.
Calculated X-ray diffraction stick pattern of PmPrTm6 for Cu Kα, 1.54184 Å, from a structure optimized by DFT (GGA-PBE).
Neutral-atom scattering factors, no anomalous dispersion.

Cell and atoms:
Lattice parameters (Å, degrees): 7.1879 7.1879 5.6495 90.00 90.00 120.00
Atoms (fractional coordinates):
Pm 0.0000 0.0000 0.0000
Pr 0.3333 0.6667 0.5000
Tm 0.3364 0.1682 0.5000
Tm 0.5016 0.0032 0.0000
Tm 0.5016 0.4984 0.0000
Tm 0.8318 0.1682 0.5000
Tm 0.8318 0.6636 0.5000
Tm 0.9968 0.4984 0.0000

Peak list (6 most intense, 2θ from 10° to 90°, most intense first)
- 32.85 deg, rel. 100
- 31.68 deg, rel. 24
- 28.68 deg, rel. 24
- 61.12 deg, rel. 23
- 57.17 deg, rel. 21
- 50.81 deg, rel. 20

5.
Calculated X-ray diffraction stick pattern of Pm12PrTm3 for Cu Kα, 1.54184 Å, from a structure optimized by DFT (GGA-PBE).
Neutral-atom scattering factors, no anomalous dispersion.

Cell and atoms:
Lattice parameters (Å, degrees): 5.1246 5.1246 20.4633 90.00 90.00 90.00
Atoms (fractional coordinates):
Pm 0.0000 0.0000 0.0000
Pm 0.0000 0.0000 0.2474
Pm 0.0000 0.0000 0.5000
Pm 0.0000 0.0000 0.7526
Pm 0.0000 0.5000 0.1241
Pm 0.0000 0.5000 0.3722
Pm 0.0000 0.5000 0.6278
Pm 0.0000 0.5000 0.8759
Pm 0.5000 0.0000 0.1241
Pm 0.5000 0.0000 0.3722
Pm 0.5000 0.0000 0.6278
Pm 0.5000 0.0000 0.8759
Pr 0.5000 0.5000 0.5000
Tm 0.5000 0.5000 0.0000
Tm 0.5000 0.5000 0.2480
Tm 0.5000 0.5000 0.7520

Peak list (6 most intense, 2θ from 10° to 90°, most intense first)
- 30.22 deg, rel. 100
- 35.04 deg, rel. 51
- 59.90 deg, rel. 43
- 50.39 deg, rel. 36
- 82.01 deg, rel. 18
- 62.86 deg, rel. 12

6.
Calculated X-ray diffraction stick pattern of Pm3Pr2Tm5 for Cu Kα, 1.54184 Å, from a structure optimized by DFT (GGA-PBE).
Neutral-atom scattering factors, no anomalous dispersion.

Cell and atoms:
Lattice parameters (Å, degrees): 9.6371 9.6371 9.3846 108.06 108.06 113.23
Atoms (fractional coordinates):
Pm 0.0338 0.2772 0.0482
Pm 0.2291 0.7709 0.7500
Pm 0.2772 0.0338 0.5482
Pm 0.7228 0.9662 0.4518
Pm 0.7709 0.2291 0.2500
Pm 0.9662 0.7228 0.9518
Pr 0.2334 0.4798 0.4517
Pr 0.4798 0.2334 0.9517
Pr 0.5202 0.7666 0.0483
Pr 0.7666 0.5202 0.5483
Tm 0.0266 0.9734 0.7500
Tm 0.1218 0.3526 0.7296
Tm 0.2690 0.7310 0.2500
Tm 0.3526 0.1218 0.2296
Tm 0.4763 0.5237 0.2500
Tm 0.5237 0.4763 0.7500
Tm 0.6474 0.8782 0.7704
Tm 0.7310 0.2690 0.7500
Tm 0.8782 0.6474 0.2704
Tm 0.9734 0.0266 0.2500

Peak list (6 most intense, 2θ from 10° to 90°, most intense first)
- 30.17 deg, rel. 100
- 30.63 deg, rel. 43
- 30.68 deg, rel. 43
- 33.80 deg, rel. 42
- 67.05 deg, rel. 21
- 60.81 deg, rel. 21